[1]
# K2RbPrI6
Theoretical XRD peak list, Cu Kα (λ = 1.5418 Å). Input: a PBE-relaxed structure.
Intensities are scaled so that the largest is 100.

a b c (Å): 9.3329 9.3329 9.3329
angles (deg): 60.00 60.00 60.00
Positions (direct):
K 0.2500 0.2500 0.2500
K 0.7500 0.7500 0.7500
Rb 0.0000 0.0000 0.0000
Pr 0.5000 0.5000 0.5000
I 0.2634 0.2634 0.7366
I 0.2634 0.7366 0.2634
I 0.2634 0.7366 0.7366
I 0.7366 0.2634 0.2634
I 0.7366 0.2634 0.7366
I 0.7366 0.7366 0.2634

Largest 6 diffraction maxima, by angle, 15 to 90 degrees two-theta:
23.3 deg, d 3.810, I 63
27.0 deg, d 3.300, I 100
30.3 deg, d 2.951, I 40
38.6 deg, d 2.333, I 74
45.6 deg, d 1.990, I 27
63.0 deg, d 1.476, I 31

---

[2]
# K2PtI5
Theoretical XRD peak list, Cu Kα (λ = 1.5418 Å). Input: a PBE-relaxed structure.
Intensities are scaled so that the largest is 100.

a b c (Å): 7.9066 7.9066 11.5250
angles (deg): 90.00 90.00 71.26
Positions (direct):
K 0.0358 0.5773 0.7500
K 0.4227 0.9642 0.7500
K 0.5773 0.0358 0.2500
K 0.9642 0.4227 0.2500
Pt 0.5000 0.5000 0.0000
Pt 0.5000 0.5000 0.5000
I 0.2076 0.7924 0.5214
I 0.2076 0.7924 0.9786
I 0.2909 0.2909 0.0000
I 0.2909 0.2909 0.5000
I 0.4658 0.5342 0.2500
I 0.5342 0.4658 0.7500
I 0.7091 0.7091 0.0000
I 0.7091 0.7091 0.5000
I 0.7924 0.2076 0.0214
I 0.7924 0.2076 0.4786

Largest 6 diffraction maxima, by angle, 15 to 90 degrees two-theta:
15.4 deg, d 5.762, I 100
27.7 deg, d 3.215, I 70
28.4 deg, d 3.139, I 70
29.9 deg, d 2.987, I 54
31.0 deg, d 2.881, I 61
42.1 deg, d 2.144, I 45

---

[3]
# K2RbYI6
Theoretical XRD peak list, Cu Kα (λ = 1.5418 Å). Input: a PBE-relaxed structure.
Intensities are scaled so that the largest is 100.

a b c (Å): 9.1736 9.1736 9.1736
angles (deg): 60.00 60.00 60.00
Positions (direct):
K 0.2500 0.2500 0.2500
K 0.7500 0.7500 0.7500
Rb 0.0000 0.0000 0.0000
Y 0.5000 0.5000 0.5000
I 0.2670 0.2670 0.7330
I 0.2670 0.7330 0.2670
I 0.2670 0.7330 0.7330
I 0.7330 0.2670 0.2670
I 0.7330 0.2670 0.7330
I 0.7330 0.7330 0.2670

Largest 6 diffraction maxima, by angle, 15 to 90 degrees two-theta:
23.8 deg, d 3.745, I 81
27.5 deg, d 3.243, I 100
30.8 deg, d 2.901, I 33
39.3 deg, d 2.293, I 72
46.4 deg, d 1.956, I 33
64.2 deg, d 1.450, I 29

---

[4]
# K3SI
Theoretical XRD peak list, Cu Kα (λ = 1.5418 Å). Input: a PBE-relaxed structure.
Intensities are scaled so that the largest is 100.

a b c (Å): 13.9966 13.9966 8.2133
angles (deg): 90.00 90.00 120.00
Positions (direct):
K 0.0000 0.1555 0.0000
K 0.0000 0.8445 0.5000
K 0.1555 0.0000 0.0000
K 0.1555 0.1555 0.5000
K 0.1781 0.5113 0.9562
K 0.1781 0.6668 0.4562
K 0.3332 0.5113 0.4562
K 0.3332 0.8219 0.9562
K 0.4887 0.6668 0.9562
K 0.4887 0.8219 0.4562
K 0.5113 0.1781 0.9562
K 0.5113 0.3332 0.4562
K 0.6668 0.1781 0.4562
K 0.6668 0.4887 0.9562
K 0.8219 0.3332 0.9562
K 0.8219 0.4887 0.4562
K 0.8445 0.0000 0.5000
K 0.8445 0.8445 0.0000
S 0.0000 0.0000 0.2497
S 0.0000 0.0000 0.7497
S 0.3333 0.6667 0.2077
S 0.3333 0.6667 0.7077
S 0.6667 0.3333 0.2077
S 0.6667 0.3333 0.7077
I 0.0000 0.3335 0.5010
I 0.0000 0.6665 0.0010
I 0.3335 0.0000 0.5010
I 0.3335 0.3335 0.0010
I 0.6665 0.0000 0.0010
I 0.6665 0.6665 0.5010

Largest 6 diffraction maxima, by angle, 15 to 90 degrees two-theta:
16.6 deg, d 5.327, I 47
21.6 deg, d 4.107, I 30
22.0 deg, d 4.040, I 29
27.7 deg, d 3.219, I 100
33.6 deg, d 2.663, I 30
41.9 deg, d 2.156, I 27

---

[5]
# K3ScI6
Theoretical XRD peak list, Cu Kα (λ = 1.5418 Å). Input: a PBE-relaxed structure.
Intensities are scaled so that the largest is 100.

a b c (Å): 8.8095 8.8095 8.8095
angles (deg): 60.00 60.00 60.00
Positions (direct):
K 0.0000 0.0000 0.0000
K 0.2500 0.2500 0.2500
K 0.7500 0.7500 0.7500
Sc 0.5000 0.5000 0.5000
I 0.2684 0.2684 0.7316
I 0.2684 0.7316 0.2684
I 0.2684 0.7316 0.7316
I 0.7316 0.2684 0.2684
I 0.7316 0.2684 0.7316
I 0.7316 0.7316 0.2684

Largest 6 diffraction maxima, by angle, 15 to 90 degrees two-theta:
24.8 deg, d 3.596, I 100
28.7 deg, d 3.115, I 78
41.0 deg, d 2.202, I 54
48.5 deg, d 1.878, I 41
50.8 deg, d 1.798, I 18
67.2 deg, d 1.393, I 20

---

[6]
# KSm2I5
Theoretical XRD peak list, Cu Kα (λ = 1.5418 Å). Input: a PBE-relaxed structure.
Intensities are scaled so that the largest is 100.

a b c (Å): 9.6931 8.6885 14.2031
angles (deg): 90.00 90.44 90.00
Positions (direct):
K 0.0040 0.0425 0.1747
K 0.0040 0.4575 0.6747
K 0.9960 0.5425 0.3253
K 0.9960 0.9575 0.8253
Sm 0.2672 0.0872 0.5026
Sm 0.2672 0.4128 0.0026
Sm 0.4915 0.0554 0.1728
Sm 0.4915 0.4446 0.6728
Sm 0.5085 0.5554 0.3272
Sm 0.5085 0.9446 0.8272
Sm 0.7328 0.5872 0.9974
Sm 0.7328 0.9128 0.4974
I 0.0337 0.6635 0.0850
I 0.0337 0.8365 0.5850
I 0.2687 0.1821 0.7185
I 0.2687 0.3179 0.2185
I 0.2832 0.0379 0.9936
I 0.2832 0.4621 0.4936
I 0.2876 0.6529 0.8217
I 0.2876 0.8471 0.3217
I 0.4551 0.6655 0.1057
I 0.4551 0.8345 0.6057
I 0.5449 0.1655 0.3943
I 0.5449 0.3345 0.8943
I 0.7124 0.1529 0.6783
I 0.7124 0.3471 0.1783
I 0.7168 0.5379 0.5064
I 0.7168 0.9621 0.0064
I 0.7313 0.6821 0.7815
I 0.7313 0.8179 0.2815
I 0.9663 0.1635 0.4150
I 0.9663 0.3365 0.9150

Largest 6 diffraction maxima, by angle, 15 to 90 degrees two-theta:
27.1 deg, d 3.287, I 70
28.2 deg, d 3.159, I 100
28.3 deg, d 3.149, I 86
30.3 deg, d 2.950, I 75
31.5 deg, d 2.838, I 62
37.1 deg, d 2.423, I 55

---

[7]
# K3TaI6
Theoretical XRD peak list, Cu Kα (λ = 1.5418 Å). Input: a PBE-relaxed structure.
Intensities are scaled so that the largest is 100.

a b c (Å): 8.7111 8.7111 8.7111
angles (deg): 60.00 60.00 60.00
Positions (direct):
K 0.0000 0.0000 0.0000
K 0.2500 0.2500 0.2500
K 0.7500 0.7500 0.7500
Ta 0.5000 0.5000 0.5000
I 0.2702 0.2702 0.7298
I 0.2702 0.7298 0.2702
I 0.2702 0.7298 0.7298
I 0.7298 0.2702 0.2702
I 0.7298 0.2702 0.7298
I 0.7298 0.7298 0.2702

Largest 6 diffraction maxima, by angle, 15 to 90 degrees two-theta:
25.0 deg, d 3.556, I 65
29.0 deg, d 3.080, I 100
32.5 deg, d 2.755, I 37
41.5 deg, d 2.178, I 70
49.1 deg, d 1.857, I 24
68.1 deg, d 1.377, I 26

---

[8]
# KTlI3
Theoretical XRD peak list, Cu Kα (λ = 1.5418 Å). Input: a PBE-relaxed structure.
Intensities are scaled so that the largest is 100.

a b c (Å): 8.8729 8.8729 8.8729
angles (deg): 60.00 60.00 60.00
Positions (direct):
K 0.2500 0.2500 0.2500
K 0.7500 0.7500 0.7500
Tl 0.0000 0.0000 0.0000
Tl 0.5000 0.5000 0.5000
I 0.2431 0.2431 0.7569
I 0.2431 0.7569 0.2431
I 0.2431 0.7569 0.7569
I 0.7569 0.2431 0.2431
I 0.7569 0.2431 0.7569
I 0.7569 0.7569 0.2431

Largest 6 diffraction maxima, by angle, 15 to 90 degrees two-theta:
28.5 deg, d 3.137, I 100
31.9 deg, d 2.806, I 62
40.7 deg, d 2.218, I 75
43.3 deg, d 2.091, I 34
50.4 deg, d 1.811, I 27
66.7 deg, d 1.403, I 34

---

[9]
# K3TlI6
Theoretical XRD peak list, Cu Kα (λ = 1.5418 Å). Input: a PBE-relaxed structure.
Intensities are scaled so that the largest is 100.

a b c (Å): 8.9906 8.9906 8.9906
angles (deg): 60.00 60.00 60.00
Positions (direct):
K 0.0000 0.0000 0.0000
K 0.2500 0.2500 0.2500
K 0.7500 0.7500 0.7500
Tl 0.5000 0.5000 0.5000
I 0.2635 0.2635 0.7365
I 0.2635 0.7365 0.2635
I 0.2635 0.7365 0.7365
I 0.7365 0.2635 0.2635
I 0.7365 0.2635 0.7365
I 0.7365 0.7365 0.2635

Largest 6 diffraction maxima, by angle, 15 to 90 degrees two-theta:
24.2 deg, d 3.670, I 59
28.1 deg, d 3.179, I 100
31.5 deg, d 2.843, I 42
40.1 deg, d 2.248, I 73
49.7 deg, d 1.835, I 25
65.7 deg, d 1.422, I 31

---

[10]
# K5Tm3I12
Theoretical XRD peak list, Cu Kα (λ = 1.5418 Å). Input: a PBE-relaxed structure.
Intensities are scaled so that the largest is 100.

a b c (Å): 14.7133 14.7133 4.5239
angles (deg): 90.00 90.00 120.00
Positions (direct):
K 0.0000 0.7157 0.0000
K 0.2843 0.2843 0.0000
K 0.3333 0.6667 0.0000
K 0.6667 0.3333 0.0000
K 0.7157 0.0000 0.0000
Tm 0.0000 0.3223 0.5000
Tm 0.3223 0.0000 0.5000
Tm 0.6777 0.6777 0.5000
I 0.0000 0.1796 0.0000
I 0.0000 0.4615 0.0000
I 0.1796 0.0000 0.0000
I 0.2039 0.7607 0.5000
I 0.2393 0.4432 0.5000
I 0.4432 0.2393 0.5000
I 0.4615 0.0000 0.0000
I 0.5385 0.5385 0.0000
I 0.5568 0.7961 0.5000
I 0.7607 0.2039 0.5000
I 0.7961 0.5568 0.5000
I 0.8204 0.8204 0.0000

Largest 6 diffraction maxima, by angle, 15 to 90 degrees two-theta:
24.1 deg, d 3.688, I 41
25.2 deg, d 3.534, I 56
27.0 deg, d 3.297, I 100
31.3 deg, d 2.854, I 70
38.0 deg, d 2.369, I 39
41.9 deg, d 2.156, I 53

---

[11]
# K3YI6
Theoretical XRD peak list, Cu Kα (λ = 1.5418 Å). Input: a PBE-relaxed structure.
Intensities are scaled so that the largest is 100.

a b c (Å): 8.9992 8.9992 8.9992
angles (deg): 60.00 60.00 60.00
Positions (direct):
K 0.0000 0.0000 0.0000
K 0.2500 0.2500 0.2500
K 0.7500 0.7500 0.7500
Y 0.5000 0.5000 0.5000
I 0.2629 0.2629 0.7371
I 0.2629 0.7371 0.2629
I 0.2629 0.7371 0.7371
I 0.7371 0.2629 0.2629
I 0.7371 0.2629 0.7371
I 0.7371 0.7371 0.2629

Largest 6 diffraction maxima, by angle, 15 to 90 degrees two-theta:
24.2 deg, d 3.674, I 100
28.0 deg, d 3.182, I 98
31.4 deg, d 2.846, I 27
40.1 deg, d 2.250, I 71
47.4 deg, d 1.919, I 44
65.6 deg, d 1.423, I 29

---

[12]
# K2ZnI4
Theoretical XRD peak list, Cu Kα (λ = 1.5418 Å). Input: a PBE-relaxed structure.
Intensities are scaled so that the largest is 100.

a b c (Å): 7.9839 8.3444 9.8737
angles (deg): 90.00 108.06 90.00
Positions (direct):
K 0.2184 0.2500 0.0513
K 0.2655 0.2500 0.5679
K 0.7345 0.7500 0.4321
K 0.7816 0.7500 0.9487
Zn 0.2225 0.7500 0.7993
Zn 0.7775 0.2500 0.2007
I 0.0076 0.9997 0.7401
I 0.0076 0.5003 0.7401
I 0.4001 0.7500 0.0727
I 0.4206 0.7500 0.6295
I 0.5794 0.2500 0.3705
I 0.5999 0.2500 0.9273
I 0.9924 0.0003 0.2599
I 0.9924 0.4997 0.2599

Largest 6 diffraction maxima, by angle, 15 to 90 degrees two-theta:
24.3 deg, d 3.656, I 100
25.2 deg, d 3.534, I 90
27.4 deg, d 3.254, I 62
28.6 deg, d 3.120, I 36
36.4 deg, d 2.469, I 35
41.1 deg, d 2.198, I 59

---

Copy entry 12 word for word.
# K2ZnI4
Theoretical XRD peak list, Cu Kα (λ = 1.5418 Å). Input: a PBE-relaxed structure.
Intensities are scaled so that the largest is 100.

a b c (Å): 7.9839 8.3444 9.8737
angles (deg): 90.00 108.06 90.00
Positions (direct):
K 0.2184 0.2500 0.0513
K 0.2655 0.2500 0.5679
K 0.7345 0.7500 0.4321
K 0.7816 0.7500 0.9487
Zn 0.2225 0.7500 0.7993
Zn 0.7775 0.2500 0.2007
I 0.0076 0.9997 0.7401
I 0.0076 0.5003 0.7401
I 0.4001 0.7500 0.0727
I 0.4206 0.7500 0.6295
I 0.5794 0.2500 0.3705
I 0.5999 0.2500 0.9273
I 0.9924 0.0003 0.2599
I 0.9924 0.4997 0.2599

Largest 6 diffraction maxima, by angle, 15 to 90 degrees two-theta:
24.3 deg, d 3.656, I 100
25.2 deg, d 3.534, I 90
27.4 deg, d 3.254, I 62
28.6 deg, d 3.120, I 36
36.4 deg, d 2.469, I 35
41.1 deg, d 2.198, I 59